The following is a simulated powder XRD pattern of HoGa2I5. It was derived from the PBE geometry in Alexandria, using copper Kα.
Peak positions follow from Bragg's law for the DFT cell and can differ from measured ones.

Atomic structure:
```
data_HoGa2I5
_cell_length_a 15.876
_cell_length_b 8.169
_cell_length_c 11.478
_cell_angle_alpha 90.00
_cell_angle_beta 113.06
_cell_angle_gamma 90.00
_symmetry_space_group_name_H-M 'C 1 c 1'
_symmetry_Int_Tables_number 9
_symmetry_space_group_name_Hall 'C -2yc'
loop_
_atom_site_label
_atom_site_type_symbol
_atom_site_fract_x
_atom_site_fract_y
_atom_site_fract_z
Ho1 Ho 0.000 0.000 0.000
Ga1 Ga 0.110 0.474 0.207
Ga2 Ga 0.390 0.025 0.793
I1 I 0.000 0.149 0.750
I2 I 0.090 0.309 0.462
I3 I 0.184 0.155 0.139
I4 I 0.317 0.344 0.861
I5 I 0.410 0.191 0.538
```

The 10 most intense peaks (10 to 90 degrees two-theta), in order of falling intensity:
| 2θ/deg | d (Å) | intensity | (hkl) |
| --- | --- | --- | --- |
| 25.41 | 3.506 | 100 | 3 1 1 |
| 24.79 | 3.592 | 99 | 2 2 -1 |
| 26.00 | 3.427 | 94 | 1 1 -3 |
| 38.79 | 2.321 | 87 | 1 3 2 |
| 32.30 | 2.772 | 68 | 4 2 -2 |
| 32.55 | 2.751 | 63 | 5 1 0 |
| 33.49 | 2.676 | 63 | 3 1 -4 |
| 12.12 | 7.304 | 62 | 2 0 0 |
| 40.65 | 2.220 | 52 | 2 0 4 |
| 16.42 | 5.400 | 42 | 2 0 -2 |

The following is a simulated powder XRD pattern of Ho4InGa2. It was derived from the PBE geometry in Alexandria, using copper Kα.
Peak positions follow from Bragg's law for the DFT cell and can differ from measured ones.

Atomic structure:
```
data_Ho4InGa2
_cell_length_a 4.9942
_cell_length_b 4.9942
_cell_length_c 26.8588
_cell_angle_alpha 90.00
_cell_angle_beta 90.00
_cell_angle_gamma 120.00
_symmetry_space_group_name_H-M 'R -3 m'
_symmetry_Int_Tables_number 166
_symmetry_space_group_name_Hall '-R 3 2"'
loop_
_atom_site_label
_atom_site_type_symbol
_atom_site_fract_x
_atom_site_fract_y
_atom_site_fract_z
Ho1 Ho 0.0000 0.0000 0.1183
Ho2 Ho 0.0000 0.0000 0.2943
In1 In 0.0000 0.0000 0.5000
Ga1 Ga 0.0000 0.0000 0.4006
```

The 10 most intense peaks (10 to 90 degrees two-theta), in order of falling intensity:
| 2θ/deg | d (Å) | intensity | (hkl) |
| --- | --- | --- | --- |
| 35.96 | 2.497 | 100 | 1 1 0 |
| 26.46 | 3.369 | 84 | 0 1 5 |
| 39.49 | 2.282 | 45 | 1 0 10 |
| 31.16 | 2.870 | 26 | 1 0 7 |
| 45.20 | 2.006 | 20 | 2 0 5 |
| 59.07 | 1.564 | 19 | 1 2 5 |
| 67.02 | 1.396 | 19 | 2 1 10 |
| 64.65 | 1.442 | 18 | 3 0 0 |
| 54.47 | 1.684 | 18 | 0 2 10 |
| 55.10 | 1.667 | 14 | 1 1 12 |

The following is a simulated powder XRD pattern of Ho3InGa5. It was derived from the PBE geometry in Alexandria, using copper Kα.
Peak positions follow from Bragg's law for the DFT cell and can differ from measured ones.

Atomic structure:
```
data_Ho3InGa5
_cell_length_a 8.476
_cell_length_b 8.476
_cell_length_c 11.640
_cell_angle_alpha 90.00
_cell_angle_beta 90.00
_cell_angle_gamma 90.00
_symmetry_space_group_name_H-M 'I 4/m c m'
_symmetry_Int_Tables_number 140
_symmetry_space_group_name_Hall '-I 4 2c'
loop_
_atom_site_label
_atom_site_type_symbol
_atom_site_fract_x
_atom_site_fract_y
_atom_site_fract_z
Ho1 Ho 0.000 0.000 0.250
Ho2 Ho 0.130 0.370 0.000
In1 In 0.000 0.500 0.250
Ga1 Ga 0.000 0.000 0.000
Ga2 Ga 0.192 0.308 0.350
```

The 10 most intense peaks (10 to 90 degrees two-theta), in order of falling intensity:
| 2θ/deg | d (Å) | intensity | (hkl) |
| --- | --- | --- | --- |
| 33.04 | 2.711 | 100 | 2 1 3 |
| 37.49 | 2.399 | 56 | 2 0 4 |
| 29.81 | 2.997 | 53 | 2 2 0 |
| 33.43 | 2.680 | 42 | 3 1 0 |
| 45.56 | 1.991 | 36 | 4 0 2 |
| 39.09 | 2.304 | 26 | 3 2 1 |
| 24.70 | 3.604 | 21 | 2 1 1 |
| 33.64 | 2.664 | 19 | 2 2 2 |
| 58.08 | 1.588 | 18 | 4 2 4 |
| 30.73 | 2.910 | 17 | 0 0 4 |